This entry pairs a crystal structure of Pu2Si5Pt3 with its simulated powder X-ray diffraction pattern. Radiation: Cu Kα, 1.54184 Å. Structure: DFT lattice parameters and positions (PBE).
Lines closer than 0.1° are merged.

Crystal structure
```
Pu2Si5Pt3
1.0
-4.993 5.688 3.024
4.993 -5.688 3.024
4.993 5.688 -3.024
Pu Si Pt
4 10 6
Direct
0.131 0.229 0.359 Pu
0.369 0.729 0.098 Pu
0.631 0.271 0.902 Pu
0.869 0.771 0.641 Pu
0.024 0.750 0.274 Si
0.112 0.653 0.765 Si
0.250 0.250 0.000 Si
0.388 0.153 0.541 Si
0.476 0.750 0.726 Si
0.524 0.250 0.274 Si
0.612 0.847 0.459 Si
0.750 0.750 0.000 Si
0.888 0.347 0.235 Si
0.976 0.250 0.726 Si
0.138 0.889 0.027 Pt
0.250 0.750 0.500 Pt
0.362 0.389 0.751 Pt
0.638 0.611 0.249 Pt
0.750 0.250 0.500 Pt
0.862 0.111 0.973 Pt
```

Top 10 peaks for 5 to 70 degrees two-theta, most intense first:
- 34.56°, d = 2.595 Å, I = 100
- 43.69°, d = 2.072 Å, I = 58
- 34.68°, d = 2.587 Å, I = 39
- 25.12°, d = 3.545 Å, I = 33
- 36.35°, d = 2.471 Å, I = 33
- 58.03°, d = 1.589 Å, I = 30
- 31.90°, d = 2.805 Å, I = 29
- 55.70°, d = 1.650 Å, I = 27
- 29.54°, d = 3.024 Å, I = 25
- 27.93°, d = 3.195 Å, I = 20

***

This entry pairs a crystal structure of CeEuZn2 with its simulated powder X-ray diffraction pattern. Radiation: Cu Kα, 1.54184 Å. Structure: DFT lattice parameters and positions (PBE).
Lines closer than 0.1° are merged.

Crystal structure
```
CeEuZn2
1.0
0.000 3.687 3.687
3.687 0.000 3.687
3.687 3.687 0.000
Ce Eu Zn
1 1 2
Direct
0.000 0.000 0.000 Ce
0.500 0.500 0.500 Eu
0.250 0.250 0.250 Zn
0.750 0.750 0.750 Zn
```

Top 6 peaks for 5 to 70 degrees two-theta, most intense first:
- 34.40°, d = 2.607 Å, I = 100
- 61.61°, d = 1.505 Å, I = 36
- 49.44°, d = 1.844 Å, I = 18
- 24.14°, d = 3.687 Å, I = 14
- 55.75°, d = 1.649 Å, I = 6
- 42.46°, d = 2.129 Å, I = 4

***

This entry pairs a crystal structure of CaPdF6 with its simulated powder X-ray diffraction pattern. Radiation: Cu Kα, 1.54184 Å. Structure: DFT lattice parameters and positions (PBE).
Lines closer than 0.1° are merged.

Crystal structure
```
CaPdF6
1.0
2.685 1.550 4.916
-2.685 1.550 4.916
0.000 -3.101 4.916
Ca Pd F
1 1 6
Direct
0.000 0.000 0.000 Ca
0.500 0.500 0.500 Pd
0.132 0.416 0.721 F
0.279 0.868 0.584 F
0.416 0.721 0.132 F
0.584 0.279 0.868 F
0.721 0.132 0.416 F
0.868 0.584 0.279 F
```

Top 10 peaks for 5 to 70 degrees two-theta, most intense first:
- 22.60°, d = 3.934 Å, I = 100
- 30.95°, d = 2.889 Å, I = 34
- 50.33°, d = 1.813 Å, I = 33
- 20.02°, d = 4.436 Å, I = 32
- 38.19°, d = 2.357 Å, I = 23
- 46.15°, d = 1.967 Å, I = 14
- 53.59°, d = 1.710 Å, I = 14
- 18.05°, d = 4.916 Å, I = 13
- 59.64°, d = 1.550 Å, I = 13
- 40.68°, d = 2.218 Å, I = 13

***

This entry pairs a crystal structure of Li4Sb2H6O3F10 with its simulated powder X-ray diffraction pattern. Radiation: Cu Kα, 1.54184 Å. Structure: DFT lattice parameters and positions (PBE).
Lines closer than 0.1° are merged.

Crystal structure
```
Li4Sb2H6O3F10
1.0
5.675 0.000 0.000
0.000 16.676 0.000
-0.004 0.000 5.685
Li Sb H O F
8 4 12 6 20
Direct
0.245 0.111 0.251 Li
0.245 0.389 0.251 Li
0.252 0.000 0.752 Li
0.252 0.500 0.752 Li
0.748 0.000 0.248 Li
0.748 0.500 0.248 Li
0.755 0.611 0.749 Li
0.755 0.889 0.749 Li
0.241 0.629 0.260 Sb
0.241 0.871 0.260 Sb
0.759 0.129 0.740 Sb
0.759 0.371 0.740 Sb
0.034 0.250 0.262 H
0.232 0.250 0.457 H
0.291 0.204 0.855 H
0.291 0.296 0.855 H
0.367 0.704 0.779 H
0.367 0.796 0.779 H
0.633 0.204 0.221 H
0.633 0.296 0.221 H
0.709 0.704 0.145 H
0.709 0.796 0.145 H
0.768 0.750 0.543 H
0.966 0.750 0.738 H
0.209 0.250 0.284 O
0.247 0.250 0.757 O
0.271 0.750 0.731 O
0.729 0.250 0.269 O
0.753 0.750 0.243 O
0.791 0.750 0.716 O
0.000 0.078 0.502 F
0.000 0.422 0.502 F
0.000 0.578 0.498 F
0.000 0.922 0.498 F
0.007 0.093 0.998 F
0.007 0.407 0.998 F
0.319 0.513 0.193 F
0.319 0.987 0.193 F
0.487 0.133 0.004 F
0.487 0.367 0.004 F
0.494 0.598 0.515 F
0.494 0.902 0.515 F
0.506 0.098 0.485 F
0.506 0.402 0.485 F
0.513 0.633 0.996 F
0.513 0.867 0.996 F
0.681 0.013 0.807 F
0.681 0.487 0.807 F
0.993 0.593 0.002 F
0.993 0.907 0.002 F
```

Top 10 peaks for 5 to 70 degrees two-theta, most intense first:
- 16.49°, d = 5.377 Å, I = 100
- 22.13°, d = 4.016 Å, I = 75
- 22.38°, d = 3.973 Å, I = 70
- 30.92°, d = 2.892 Å, I = 61
- 21.31°, d = 4.169 Å, I = 43
- 45.15°, d = 2.008 Å, I = 38
- 31.10°, d = 2.876 Å, I = 35
- 35.76°, d = 2.511 Å, I = 35
- 38.99°, d = 2.310 Å, I = 30
- 44.85°, d = 2.021 Å, I = 26

***

This entry pairs a crystal structure of MnCoSn with its simulated powder X-ray diffraction pattern. Radiation: Cu Kα, 1.54184 Å. Structure: DFT lattice parameters and positions (PBE).
Lines closer than 0.1° are merged.

Crystal structure
```
MnCoSn
1.0
4.361 0.000 0.000
-2.181 3.777 0.000
0.000 0.000 5.157
Mn Co Sn
2 2 2
Direct
0.333 0.667 0.250 Mn
0.667 0.333 0.750 Mn
0.000 0.000 0.000 Co
0.000 0.000 0.500 Co
0.333 0.667 0.750 Sn
0.667 0.333 0.250 Sn
```

Top 10 peaks for 5 to 70 degrees two-theta, most intense first:
- 41.41°, d = 2.181 Å, I = 100
- 42.44°, d = 2.130 Å, I = 74
- 29.31°, d = 3.047 Å, I = 27
- 60.79°, d = 1.524 Å, I = 24
- 55.16°, d = 1.665 Å, I = 21
- 34.79°, d = 2.579 Å, I = 13
- 51.54°, d = 1.773 Å, I = 7
- 68.16°, d = 1.376 Å, I = 7
- 23.55°, d = 3.777 Å, I = 5
- 59.04°, d = 1.565 Å, I = 5

***

This entry pairs a crystal structure of RbMg6CO8 with its simulated powder X-ray diffraction pattern. Radiation: Cu Kα, 1.54184 Å. Structure: DFT lattice parameters and positions (PBE).
Lines closer than 0.1° are merged.

Crystal structure
```
RbMg6CO8
1.0
4.389 0.000 0.000
0.000 4.389 0.000
0.000 0.000 8.997
Rb Mg C O
1 6 1 8
Direct
0.000 0.000 0.000 Rb
0.000 0.000 0.500 Mg
0.000 0.500 0.262 Mg
0.000 0.500 0.738 Mg
0.500 0.000 0.262 Mg
0.500 0.000 0.738 Mg
0.500 0.500 0.500 Mg
0.500 0.500 0.000 C
0.000 0.000 0.280 O
0.000 0.000 0.720 O
0.000 0.500 0.000 O
0.000 0.500 0.500 O
0.500 0.000 0.000 O
0.500 0.000 0.500 O
0.500 0.500 0.251 O
0.500 0.500 0.749 O
```

Top 10 peaks for 5 to 70 degrees two-theta, most intense first:
- 41.13°, d = 2.195 Å, I = 100
- 58.79°, d = 1.571 Å, I = 57
- 40.09°, d = 2.249 Å, I = 50
- 22.54°, d = 3.945 Å, I = 32
- 35.13°, d = 2.555 Å, I = 31
- 59.58°, d = 1.552 Å, I = 29
- 20.23°, d = 4.389 Å, I = 25
- 28.41°, d = 3.141 Å, I = 23
- 36.28°, d = 2.476 Å, I = 17
- 9.83°, d = 8.997 Å, I = 10

***

This entry pairs a crystal structure of ZnIn2GeAs4 with its simulated powder X-ray diffraction pattern. Radiation: Cu Kα, 1.54184 Å. Structure: DFT lattice parameters and positions (PBE).
Lines closer than 0.1° are merged.

Crystal structure
```
ZnIn2GeAs4
1.0
-2.793 2.793 5.575
2.793 -2.793 5.575
2.793 2.793 -5.575
Zn In Ge As
1 2 1 4
Direct
0.000 0.000 0.000 Zn
0.250 0.750 0.500 In
0.750 0.250 0.500 In
0.500 0.500 0.000 Ge
0.000 0.500 0.500 As
0.251 0.251 0.000 As
0.500 0.000 0.500 As
0.749 0.749 0.000 As
```

Top 10 peaks for 5 to 70 degrees two-theta, most intense first:
- 32.07°, d = 2.791 Å, I = 100
- 45.98°, d = 1.974 Å, I = 72
- 57.16°, d = 1.611 Å, I = 25
- 67.01°, d = 1.397 Å, I = 8
- 67.16°, d = 1.394 Å, I = 4
- 15.90°, d = 5.575 Å, I = 3
- 22.51°, d = 3.950 Å, I = 3
- 27.68°, d = 3.223 Å, I = 2
- 35.96°, d = 2.497 Å, I = 2
- 39.57°, d = 2.277 Å, I = 1

***

This entry pairs a crystal structure of Sc11Ru4 with its simulated powder X-ray diffraction pattern. Radiation: Cu Kα, 1.54184 Å. Structure: DFT lattice parameters and positions (PBE).
Lines closer than 0.1° are merged.

Crystal structure
```
Sc11Ru4
1.0
0.000 6.698 6.698
6.698 0.000 6.698
6.698 6.698 0.000
Sc Ru
22 8
Direct
0.150 0.617 0.617 Sc
0.157 0.157 0.157 Sc
0.157 0.157 0.529 Sc
0.157 0.529 0.157 Sc
0.198 0.198 0.802 Sc
0.198 0.802 0.198 Sc
0.198 0.802 0.802 Sc
0.383 0.383 0.383 Sc
0.383 0.383 0.850 Sc
0.383 0.850 0.383 Sc
0.471 0.843 0.843 Sc
0.529 0.157 0.157 Sc
0.617 0.150 0.617 Sc
0.617 0.617 0.150 Sc
0.617 0.617 0.617 Sc
0.802 0.198 0.198 Sc
0.802 0.198 0.802 Sc
0.802 0.802 0.198 Sc
0.843 0.471 0.843 Sc
0.843 0.843 0.471 Sc
0.843 0.843 0.843 Sc
0.850 0.383 0.383 Sc
0.000 0.000 0.000 Ru
0.000 0.000 0.500 Ru
0.000 0.500 0.000 Ru
0.000 0.500 0.500 Ru
0.500 0.000 0.000 Ru
0.500 0.000 0.500 Ru
0.500 0.500 0.000 Ru
0.500 0.500 0.500 Ru
```

Top 10 peaks for 5 to 70 degrees two-theta, most intense first:
- 38.00°, d = 2.368 Å, I = 100
- 23.00°, d = 3.867 Å, I = 40
- 44.88°, d = 2.020 Å, I = 34
- 34.80°, d = 2.578 Å, I = 23
- 68.64°, d = 1.367 Å, I = 18
- 60.22°, d = 1.537 Å, I = 12
- 54.82°, d = 1.675 Å, I = 12
- 26.62°, d = 3.349 Å, I = 11
- 61.96°, d = 1.498 Å, I = 7
- 52.47°, d = 1.744 Å, I = 5

***

This entry pairs a crystal structure of DyGeRh with its simulated powder X-ray diffraction pattern. Radiation: Cu Kα, 1.54184 Å. Structure: DFT lattice parameters and positions (PBE).
Lines closer than 0.1° are merged.

Crystal structure
```
DyGeRh
1.0
6.962 0.000 0.000
0.000 4.345 0.000
0.000 0.000 7.557
Dy Ge Rh
4 4 4
Direct
0.002 0.250 0.197 Dy
0.498 0.750 0.697 Dy
0.502 0.250 0.303 Dy
0.998 0.750 0.803 Dy
0.209 0.250 0.602 Ge
0.291 0.750 0.102 Ge
0.709 0.250 0.898 Ge
0.791 0.750 0.398 Ge
0.161 0.750 0.428 Rh
0.339 0.250 0.928 Rh
0.661 0.750 0.072 Rh
0.839 0.250 0.572 Rh
```

Top 10 peaks for 5 to 70 degrees two-theta, most intense first:
- 35.09°, d = 2.558 Å, I = 100
- 33.98°, d = 2.639 Å, I = 48
- 41.43°, d = 2.179 Å, I = 36
- 41.57°, d = 2.173 Å, I = 31
- 67.46°, d = 1.388 Å, I = 20
- 40.67°, d = 2.219 Å, I = 20
- 58.39°, d = 1.580 Å, I = 14
- 55.47°, d = 1.657 Å, I = 14
- 37.99°, d = 2.369 Å, I = 13
- 59.56°, d = 1.552 Å, I = 13

***

This entry pairs a crystal structure of LaNi2Ge2 with its simulated powder X-ray diffraction pattern. Radiation: Cu Kα, 1.54184 Å. Structure: DFT lattice parameters and positions (PBE).
Lines closer than 0.1° are merged.

Crystal structure
```
LaNi2Ge2
1.0
-2.101 2.101 4.959
2.101 -2.101 4.959
2.101 2.101 -4.959
La Ni Ge
1 2 2
Direct
0.000 0.000 0.000 La
0.250 0.750 0.500 Ni
0.750 0.250 0.500 Ni
0.366 0.366 0.000 Ge
0.634 0.634 0.000 Ge
```

Top 10 peaks for 5 to 70 degrees two-theta, most intense first:
- 34.52°, d = 2.598 Å, I = 100
- 35.21°, d = 2.549 Å, I = 87
- 43.05°, d = 2.101 Å, I = 69
- 56.31°, d = 1.634 Å, I = 48
- 30.07°, d = 2.972 Å, I = 26
- 64.51°, d = 1.445 Å, I = 23
- 62.51°, d = 1.486 Å, I = 22
- 50.90°, d = 1.794 Å, I = 21
- 68.81°, d = 1.364 Å, I = 17
- 47.77°, d = 1.904 Å, I = 11

***

This entry pairs a crystal structure of AcInTe2 with its simulated powder X-ray diffraction pattern. Radiation: Cu Kα, 1.54184 Å. Structure: DFT lattice parameters and positions (PBE).
Lines closer than 0.1° are merged.

Crystal structure
```
AcInTe2
1.0
0.000 4.048 4.048
4.048 0.000 4.048
4.048 4.048 0.000
Ac In Te
1 1 2
Direct
0.000 0.000 0.000 Ac
0.500 0.500 0.500 In
0.250 0.250 0.250 Te
0.750 0.750 0.750 Te
```

Top 10 peaks for 5 to 70 degrees two-theta, most intense first:
- 31.25°, d = 2.862 Å, I = 100
- 55.61°, d = 1.653 Å, I = 39
- 44.78°, d = 2.024 Å, I = 19
- 65.19°, d = 1.431 Å, I = 12
- 18.99°, d = 4.674 Å, I = 7
- 36.82°, d = 2.441 Å, I = 4
- 21.96°, d = 4.048 Å, I = 3
- 49.05°, d = 1.857 Å, I = 2
- 68.58°, d = 1.368 Å, I = 2
- 59.31°, d = 1.558 Å, I = 2

***

This entry pairs a crystal structure of Tb5Si2B8 with its simulated powder X-ray diffraction pattern. Radiation: Cu Kα, 1.54184 Å. Structure: DFT lattice parameters and positions (PBE).
Lines closer than 0.1° are merged.

Crystal structure
```
Tb5Si2B8
1.0
7.257 0.000 0.000
0.000 7.257 0.000
0.000 0.000 8.142
Tb Si B
10 4 16
Direct
0.000 0.000 0.000 Tb
0.180 0.320 0.276 Tb
0.180 0.320 0.724 Tb
0.320 0.820 0.276 Tb
0.320 0.820 0.724 Tb
0.500 0.500 0.000 Tb
0.680 0.180 0.276 Tb
0.680 0.180 0.724 Tb
0.820 0.680 0.276 Tb
0.820 0.680 0.724 Tb
0.114 0.614 0.000 Si
0.386 0.114 0.000 Si
0.614 0.886 0.000 Si
0.886 0.386 0.000 Si
0.000 0.000 0.339 B
0.000 0.000 0.661 B
0.039 0.828 0.500 B
0.090 0.590 0.500 B
0.172 0.039 0.500 B
0.328 0.539 0.500 B
0.410 0.090 0.500 B
0.461 0.328 0.500 B
0.500 0.500 0.339 B
0.500 0.500 0.661 B
0.539 0.672 0.500 B
0.590 0.910 0.500 B
0.672 0.461 0.500 B
0.828 0.961 0.500 B
0.910 0.410 0.500 B
0.961 0.172 0.500 B
```

Top 10 peaks for 5 to 70 degrees two-theta, most intense first:
- 33.06°, d = 2.710 Å, I = 100
- 35.37°, d = 2.538 Å, I = 99
- 27.48°, d = 3.246 Å, I = 66
- 39.26°, d = 2.295 Å, I = 34
- 57.00°, d = 1.616 Å, I = 31
- 51.95°, d = 1.760 Å, I = 27
- 58.53°, d = 1.577 Å, I = 24
- 27.98°, d = 3.189 Å, I = 22
- 21.83°, d = 4.071 Å, I = 21
- 34.97°, d = 2.566 Å, I = 21